For Ce2MgFe, a DFT-relaxed cell (PBE, Alexandria) gives the simulated XRD peak list in this record (a wavelength of 1.5418 Å).
Intensities are scaled so that the largest is 100.

Most intense lines, 2θ from 10° to 90°, low angle first:
| d [Å] | 2theta | intensity |
| --- | --- | --- |
| 3.076 | 29.03 | 66 |
| 2.870 | 31.16 | 42 |
| 2.849 | 31.40 | 40 |
| 2.814 | 31.79 | 62 |
| 2.656 | 33.74 | 100 |
| 2.588 | 34.66 | 42 |
| 2.574 | 34.85 | 30 |
| 2.540 | 35.33 | 26 |
| 2.467 | 36.42 | 28 |
| 2.353 | 38.25 | 44 |
| 2.089 | 43.31 | 31 |
| 1.836 | 49.65 | 28 |

Cell and atoms:
```
Ce2MgFe
1.0
5.6913 0.0000 0.0000
0.0000 3.6723 0.0000
-1.3593 0.0000 9.1945
Ce Mg Fe
4 2 2
Cartesian
0.8485 0.0000 1.2837
0.6520 0.1275 7.1210
3.6799 1.9636 2.0736
3.4835 1.8361 7.9108
0.7805 1.9137 4.2369
3.5515 0.0775 4.9576
0.5348 1.7172 8.8156
3.7971 3.5533 0.3789
```